Starting from the GGA-PBE geometry in Alexandria, the powder XRD pattern of Sc6Ag7 was computed for Cu Kα X-rays.
Neutral-atom scattering factors, no anomalous dispersion.

Most intense lines, 10° ≤ 2θ ≤ 90°, low angle first:
d = 4.952 Å, 2θ = 17.91°, I 66.2, (0 0 6)
d = 4.773 Å, 2θ = 18.59°, I 51.3, (1 0 1)
d = 4.053 Å, 2θ = 21.93°, I 26.7, (1 0 4)
d = 2.476 Å, 2θ = 36.28°, I 46.5, (0 0 12)
d = 2.432 Å, 2θ = 36.96°, I 97.3, (1 1 6)
d = 2.410 Å, 2θ = 37.31°, I 62.1, (0 2 1)
d = 2.387 Å, 2θ = 37.69°, I 31.4, (2 0 2)
d = 2.358 Å, 2θ = 38.16°, I 47.4, (0 1 11)
d = 2.240 Å, 2θ = 40.27°, I 100.0, (2 0 5)
d = 2.101 Å, 2θ = 43.05°, I 48.2, (0 2 7)
d = 1.416 Å, 2θ = 65.95°, I 28.9, (2 0 17)
d = 1.396 Å, 2θ = 67.04°, I 36.8, (2 2 0)

```
data_Sc6Ag7
_chemical_formula_sum 'Sc18 Ag21'
_symmetry_space_group_name_H-M 'R -3 m'
_symmetry_Int_Tables_number 166
_symmetry_space_group_name_Hall '-R 3 2"'
_cell_length_a 5.5842
_cell_length_b 5.5842
_cell_length_c 29.7137
_cell_angle_alpha 90.00
_cell_angle_beta 90.00
_cell_angle_gamma 120.00
loop_
_atom_site_label
_atom_site_type_symbol
_atom_site_fract_x
_atom_site_fract_y
_atom_site_fract_z
_atom_site_occupancy
Sc1 Sc 0.0000 0.0000 0.0485 1
Sc2 Sc 0.0000 0.0000 0.1564 1
Sc3 Sc 0.0000 0.0000 0.3310 1
Ag1 Ag 0.0000 0.0000 0.5000 1
Ag2 Ag 0.0008 0.5004 0.9106 1
```